Record 1
This entry pairs a crystal structure of LiNiPO4 with its computed PXRD pattern. Radiation: Cu Kα. Structure: DFT lattice parameters and positions (PBE+U).

The 10 most intense peaks (10° ≤ 2θ ≤ 90°), by angle:
2θ = 15.67°, rel. 35, hkl 1 0 0; 2θ = 24.90°, rel. 49, hkl 1 1 1; 2θ = 27.33°, rel. 25, hkl 1 0 2; 2θ = 31.65°, rel. 24, hkl 1 1 2; 2θ = 37.30°, rel. 100, hkl 2 1 1; 2θ = 40.70°, rel. 13, hkl 1 1 3; 2θ = 45.38°, rel. 39, hkl 0 0 4; 2θ = 52.43°, rel. 13, hkl 3 1 1; 2θ = 60.14°, rel. 23, hkl 3 0 3; 2θ = 66.11°, rel. 52, hkl 2 2 4

Atomic structure:
Cell lengths 5.655, 5.655, 7.990 Å; angles 90.00, 90.00, 90.00 degrees
Space group P4_322 (No. 95)
Symmetry-distinct sites (fractional):
Li1 0.000 0.228 0.000 [4 per cell]
Ni1 0.238 0.500 0.250 [4 per cell]
P1 0.254 0.254 0.625 [4 per cell]
O1 0.029 0.254 0.737 [8 per cell]
O2 0.254 0.482 0.510 [8 per cell]

***

Record 2
This entry pairs a crystal structure of Li2NiP2O7 with its computed PXRD pattern. Radiation: Cu Kα. Structure: DFT lattice parameters and positions (PBE+U).

The 10 most intense peaks (10° ≤ 2θ ≤ 90°), by angle:
2θ = 16.99°, rel. 100, hkl 0 1 1; 2θ = 21.67°, rel. 15, hkl 1 1 0; 2θ = 21.94°, rel. 30, hkl 1 1 -1; 2θ = 26.39°, rel. 17, hkl 1 0 1; 2θ = 28.54°, rel. 19, hkl 1 1 1; 2θ = 28.68°, rel. 18, hkl 1 2 0; 2θ = 28.89°, rel. 51, hkl 1 2 -1; 2θ = 29.17°, rel. 33, hkl 1 1 -2; 2θ = 34.38°, rel. 14, hkl 0 2 2; 2θ = 57.27°, rel. 14, hkl 2 3 -3

Atomic structure:
Cell lengths 4.997, 8.280, 7.112 Å; angles 90.00, 109.13, 90.00 degrees
Space group P2_1 (No. 4)
Symmetry-distinct sites (fractional):
Li1 0.157 0.000 0.416 [2 per cell]
Li2 0.330 0.325 0.849 [2 per cell]
Ni1 0.297 0.684 0.779 [2 per cell]
P1 0.111 0.995 0.983 [2 per cell]
P2 0.285 0.388 0.413 [2 per cell]
O1 0.069 0.492 0.878 [2 per cell]
O2 0.103 0.513 0.244 [2 per cell]
O3 0.114 0.233 0.404 [2 per cell]
O4 0.271 0.836 0.996 [2 per cell]
O5 0.304 0.142 0.015 [2 per cell]
O6 0.322 0.479 0.608 [2 per cell]
O7 0.428 0.861 0.616 [2 per cell]

***

Record 3
This entry pairs a crystal structure of LiNiP2O7 with its computed PXRD pattern. Radiation: Cu Kα. Structure: DFT lattice parameters and positions (PBE+U).

The 10 most intense peaks (10° ≤ 2θ ≤ 90°), by angle:
2θ = 15.01°, rel. 53, hkl 0 1 1; 2θ = 17.24°, rel. 68, hkl 1 1 -1; 2θ = 25.39°, rel. 32, hkl 1 2 -1; 2θ = 29.31°, rel. 71, hkl 2 1 -2; 2θ = 29.50°, rel. 93, hkl 1 2 -2; 2θ = 29.70°, rel. 100, hkl 1 0 2; 2θ = 35.21°, rel. 34, hkl 2 2 0; 2θ = 42.77°, rel. 36, hkl 2 3 -2; 2θ = 48.64°, rel. 22, hkl 0 2 4; 2θ = 57.97°, rel. 25, hkl 3 3 -4

Atomic structure:
Cell lengths 7.062, 8.306, 9.162 Å; angles 90.00, 113.74, 90.00 degrees
Space group P2_1/c (No. 14)
Symmetry-distinct sites (fractional):
Li1 0.197 0.059 0.325 [4 per cell]
Ni1 0.262 0.076 0.885 [4 per cell]
P1 0.031 0.732 0.968 [4 per cell]
P2 0.441 0.732 0.254 [4 per cell]
O1 0.020 0.096 0.657 [4 per cell]
O2 0.062 0.606 0.401 [4 per cell]
O3 0.123 0.241 0.454 [4 per cell]
O4 0.247 0.669 0.101 [4 per cell]
O5 0.382 0.243 0.299 [4 per cell]
O6 0.390 0.611 0.815 [4 per cell]
O7 0.476 0.594 0.379 [4 per cell]